Diffraction record for Li2MnPHO5. The X-ray powder pattern is simulated, not measured: it uses a cell relaxed with PBE+U and copper Kα.

Cell lengths 5.356, 5.551, 7.593 Å; angles 108.65, 109.75, 94.85 degrees
Sites, in units of the cell vectors:
1 Li 0.014 0.146 0.341
2 Li 0.266 0.391 0.192
3 Li 0.734 0.609 0.808
4 Li 0.986 0.854 0.659
5 Mn 0.500 0.000 0.000
6 Mn 0.500 0.000 0.500
7 P 0.169 0.371 0.741
8 P 0.831 0.629 0.259
9 H 0.178 0.909 0.137
10 H 0.822 0.091 0.863
11 O 0.112 0.775 0.432
12 O 0.151 0.660 0.837
13 O 0.224 0.237 0.899
14 O 0.330 0.060 0.224
15 O 0.388 0.353 0.649
16 O 0.612 0.647 0.351
17 O 0.670 0.940 0.776
18 O 0.776 0.763 0.101
19 O 0.849 0.340 0.163
20 O 0.888 0.225 0.568

Main lines, sorted by position (5 to 70 degrees two-theta):
hkl  two_theta  I/Imax
0 1 0  17.27  23
1 0 -1  17.81  21
1 0 0  18.02  15
-1 1 1  25.63  21
0 1 -2  25.98  100
1 1 0  27.68  55
2 0 -1  33.59  13
-1 1 2  34.65  14
1 -2 0  35.78  29
2 0 -3  43.13  15
1 -3 2  53.32  14
0 2 -4  53.50  19